This entry pairs a crystal structure of PrYGa6 with its calculated powder diffraction line list. Radiation: copper Kα. Structure: the PBE geometry in OQMD.
Peak positions follow from Bragg's law for the DFT cell and can differ from measured ones.

Structural model:
```
PrYGa6
1.0
6.342 0.000 0.000
-3.171 5.492 0.000
0.000 0.000 4.610
Pr Y Ga
1 1 6
Direct
0.000 0.000 0.000
0.667 0.333 0.500
0.037 0.518 0.000
0.186 0.372 0.500
0.186 0.814 0.500
0.482 0.518 0.000
0.482 0.963 0.000
0.628 0.814 0.500
```

Peak list (10 most intense, 2θ from 10° to 80°, most intense first)
2θ (°)  I (rel.)
38.14  100
32.61  26
39.08  22
72.33  17
58.19  16
70.18  16
51.78  14
71.72  12
25.22  11
43.60  6